Diffraction record for TaAl. The XRD peak list is simulated, not measured: it uses a PBE-relaxed structure and λ = 1.5418 Å (Cu Kα).
Peak positions follow from Bragg's law for the DFT cell and can differ from measured ones.

Principal peaks in the range 15 to 90 degrees two-theta, in order of rising 2θ:
2θ = 21.0°, I = 62
2θ = 31.8°, I = 45
2θ = 38.5°, I = 100
2θ = 42.8°, I = 19
2θ = 43.1°, I = 18
2θ = 48.5°, I = 14
2θ = 54.3°, I = 20
2θ = 75.5°, I = 14
2θ = 76.0°, I = 14
2θ = 82.4°, I = 14

Cell and atoms:
Cell lengths 3.787, 4.194, 4.225 Å; angles 90.00, 90.00, 90.00 degrees
Space group Cmmm (No. 65)
Symmetry-distinct sites (fractional):
Ta: 0.000 0.000 0.000 [2 per cell]
Al: 0.000 0.500 0.500 [2 per cell]